For U4Si3Ru2, a crystal structure in Alexandria, relaxed with PBE gives the computed X-ray powder pattern in this record (Cu Kα (weighted mean of Kα1 and Kα2)).
Lines closer than 0.1° are merged.

The 10 most intense peaks (5° ≤ 2θ ≤ 70°), low angle first:
| 2θ (°) | intensity | (hkl) |
| --- | --- | --- |
| 18.12 | 55 | 0 2 0 |
| 32.80 | 28 | 0 0 4 |
| 34.56 | 38 | 2 0 2 |
| 36.72 | 39 | 0 4 0 |
| 37.72 | 45 | 0 2 4 |
| 39.30 | 100 | 2 2 2 |
| 50.05 | 18 | 0 4 4 |
| 51.31 | 26 | 2 4 2 |
| 62.93 | 22 | 2 2 6 |
| 67.85 | 20 | 2 6 2 |

Structural model:
Cell: 5.8984 9.7897 10.9221 Å, 90.00 90.00 90.00°
Space group Imma (No. 74)
Unique sites:
1 U 0.0000 0.0000 0.0000
2 U 0.0000 0.0000 0.5000
3 U 0.2500 0.0075 0.2500
4 Si 0.0000 0.2500 0.1494
5 Si 0.2418 0.2500 0.5713
6 Ru 0.0000 0.2500 0.3821
7 Ru 0.0000 0.2500 0.7551

***

For Ac3Hg2Pb, a crystal structure in Alexandria, relaxed with PBE gives the computed X-ray powder pattern in this record (Cu Kα (weighted mean of Kα1 and Kα2)).
Lines closer than 0.1° are merged.

The 10 most intense peaks (5° ≤ 2θ ≤ 70°), low angle first:
| 2θ (°) | intensity | (hkl) |
| --- | --- | --- |
| 30.72 | 100 | 1 0 3 |
| 31.45 | 48 | 1 1 0 |
| 36.13 | 1 | 1 0 4 |
| 42.91 | 10 | 0 0 6 |
| 45.08 | 18 | 2 0 0 |
| 54.16 | 20 | 1 1 6 |
| 55.54 | 39 | 2 1 3 |
| 63.20 | 1 | 1 0 8 |
| 63.98 | 12 | 2 0 6 |
| 65.65 | 6 | 2 2 0 |

Structural model:
Cell: 4.0225 4.0225 12.6471 Å, 90.00 90.00 90.00°
Space group P4/mmm (No. 123)
Unique sites:
1 Ac 0.0000 0.0000 0.0000
2 Ac 0.0000 0.0000 0.3248
3 Hg 0.5000 0.5000 0.1577
4 Pb 0.5000 0.5000 0.5000

***

For Ga2BI8, a crystal structure in Alexandria, relaxed with PBE gives the computed X-ray powder pattern in this record (Cu Kα (weighted mean of Kα1 and Kα2)).
Lines closer than 0.1° are merged.

The 10 most intense peaks (5° ≤ 2θ ≤ 70°), low angle first:
| 2θ (°) | intensity | (hkl) |
| --- | --- | --- |
| 6.40 | 22 | 0 0 1 |
| 11.73 | 54 | 2 0 -1 |
| 19.25 | 42 | 0 0 3 |
| 25.19 | 41 | 4 0 -3 |
| 25.29 | 100 | 1 1 -3 |
| 26.29 | 60 | 3 1 0 |
| 27.12 | 30 | 2 0 3 |
| 36.24 | 27 | 0 2 0 |
| 45.88 | 25 | 2 2 3 |
| 54.09 | 18 | 6 2 0 |

Structural model:
Cell: 15.1863 4.9573 15.0526 Å, 90.00 113.39 90.00°
Space group C2 (No. 5)
Unique sites:
1 Ga 0.1580 0.0000 0.2996
2 B 0.0000 0.2281 0.0000
3 I 0.0058 0.9737 0.8710
4 I 0.1276 0.4983 0.3706
5 I 0.1401 0.4357 0.0554
6 I 0.1767 0.4798 0.7055